Record 1
Structure and simulated XRD peak list of K2Li2CuBr2O2 (a cell relaxed with GGA-PBE; λ = 1.5418 Å (Cu Kα)).
Kinematic intensities with the Lorentz-polarization factor, no thermal factor.

Cell and atoms:
```
data_K2Li2CuBr2O2
_chemical_formula_sum 'K4 Li4 Cu2 Br4 O4'
_symmetry_space_group_name_H-M 'I 4/m m m'
_symmetry_Int_Tables_number 139
_symmetry_space_group_name_Hall '-I 4 2'
_cell_length_a 4.1200
_cell_length_b 4.1200
_cell_length_c 23.6491
_cell_angle_alpha 90.00
_cell_angle_beta 90.00
_cell_angle_gamma 90.00
loop_
_atom_site_label
_atom_site_fract_x
_atom_site_fract_y
_atom_site_fract_z
K1 0.0000 0.0000 0.0687
Li1 0.0000 0.5000 0.2500
Cu1 0.0000 0.0000 0.5000
Br1 0.0000 0.0000 0.3113
O1 0.0000 0.5000 0.0000
```

Largest 10 diffraction maxima, by intensity, 2θ from 5° to 70°:
2theta  I (rel.)  hkl
28.74  100  1 0 5
30.69  43  1 1 0
53.36  33  2 1 5
43.95  26  2 0 0
24.38  23  1 0 3
14.98  20  0 0 4
43.62  19  1 1 8
47.72  15  1 0 11
22.56  11  0 0 6
66.88  10  2 1 11


Record 2
Structure and simulated XRD peak list of Nd3Ti3Se2O8 (a cell relaxed with GGA-PBE; λ = 1.5418 Å (Cu Kα)).
Kinematic intensities with the Lorentz-polarization factor, no thermal factor.

Cell and atoms:
```
data_Nd3Ti3Se2O8
_chemical_formula_sum 'Nd6 Ti6 Se4 O16'
_symmetry_space_group_name_H-M 'P 1 21/m 1'
_symmetry_Int_Tables_number 11
_symmetry_space_group_name_Hall '-P 2yb'
_cell_length_a 9.9331
_cell_length_b 3.9461
_cell_length_c 13.6129
_cell_angle_alpha 90.00
_cell_angle_beta 111.05
_cell_angle_gamma 90.00
loop_
_atom_site_label
_atom_site_fract_x
_atom_site_fract_y
_atom_site_fract_z
Nd1 0.1120 0.2500 0.1622
Nd2 0.1794 0.2500 0.5887
Nd3 0.3309 0.2500 0.9150
Ti1 0.2130 0.7500 0.3992
Ti2 0.4536 0.7500 0.7682
Ti3 0.4558 0.2500 0.4119
Se1 0.1379 0.7500 0.7476
Se2 0.1785 0.7500 0.0169
O1 0.0831 0.7500 0.4699
O2 0.1356 0.7500 0.2578
O3 0.2534 0.2500 0.4279
O4 0.3599 0.7500 0.6083
O5 0.3755 0.2500 0.2532
O6 0.4042 0.2500 0.7616
O7 0.4270 0.7500 0.4266
O8 0.4752 0.7500 0.9143
```

Largest 10 diffraction maxima, by intensity, 2θ from 5° to 70°:
2theta  I (rel.)  hkl
28.90  100  2 1 -1
27.60  92  2 0 2
32.26  87  2 1 -3
30.98  79  0 1 3
34.79  70  1 1 -4
46.00  65  0 2 0
30.02  58  1 1 2
35.58  57  3 1 -2
19.20  55  2 0 -2
36.85  52  3 0 -5


Record 3
Structure and simulated XRD peak list of SiNi3W2 (a cell relaxed with GGA-PBE; λ = 1.5418 Å (Cu Kα)).
Kinematic intensities with the Lorentz-polarization factor, no thermal factor.

Cell and atoms:
```
data_SiNi3W2
_chemical_formula_sum 'Si4 Ni12 W8'
_symmetry_space_group_name_H-M 'A m m 2'
_symmetry_Int_Tables_number 38
_symmetry_space_group_name_Hall 'A 2 -2'
_cell_length_a 7.5921
_cell_length_b 4.7681
_cell_length_c 8.1486
_cell_angle_alpha 90.00
_cell_angle_beta 90.00
_cell_angle_gamma 90.00
loop_
_atom_site_label
_atom_site_fract_x
_atom_site_fract_y
_atom_site_fract_z
Si1 0.0000 0.2466 0.0000
Ni1 0.0000 0.0000 0.7640
Ni2 0.2409 0.0000 0.5764
Ni3 0.5000 0.0000 0.4133
Ni4 0.5000 0.2460 0.1677
W1 0.1911 0.0000 0.2467
W2 0.3166 0.0000 0.9170
```

Largest 10 diffraction maxima, by intensity, 2θ from 5° to 70°:
2theta  I (rel.)  hkl
41.91  100  3 1 1
45.24  97  2 1 3
38.13  71  0 1 3
37.73  44  0 2 0
42.03  43  3 0 2
45.68  42  1 2 2
44.90  41  2 2 0
23.43  23  2 0 0
46.14  21  1 0 4
65.56  19  5 0 2


Record 4
Structure and simulated XRD peak list of Sm6Al3Fe11 (a cell relaxed with GGA-PBE; λ = 1.5418 Å (Cu Kα)).
Kinematic intensities with the Lorentz-polarization factor, no thermal factor.

Cell and atoms:
```
data_Sm6Al3Fe11
_chemical_formula_sum 'Sm24 Al12 Fe44'
_symmetry_space_group_name_H-M 'I 4 c m'
_symmetry_Int_Tables_number 108
_symmetry_space_group_name_Hall 'I 4 -2c'
_cell_length_a 8.0370
_cell_length_b 8.0370
_cell_length_c 23.1634
_cell_angle_alpha 90.00
_cell_angle_beta 90.00
_cell_angle_gamma 90.00
loop_
_atom_site_label
_atom_site_fract_x
_atom_site_fract_y
_atom_site_fract_z
Sm1 0.0000 0.0000 0.0000
Sm2 0.0000 0.0000 0.2100
Sm3 0.1667 0.3333 0.4204
Sm4 0.1695 0.3305 0.7948
Al1 0.0000 0.0000 0.3548
Al2 0.1197 0.3803 0.1995
Fe1 0.0000 0.5000 0.1036
Fe2 0.0687 0.2097 0.1043
Fe3 0.1132 0.3868 0.0096
Fe4 0.1752 0.3248 0.6623
Fe5 0.1789 0.3211 0.5451
```

Largest 10 diffraction maxima, by intensity, 2θ from 5° to 70°:
2theta  I (rel.)  hkl
31.50  100  2 2 0
27.37  86  2 1 3
35.32  70  3 1 0
38.32  56  2 0 8
7.63  55  0 0 2
50.81  50  4 2 0
46.77  41  4 1 1
38.69  40  3 1 4
43.24  39  2 1 9
58.20  29  3 3 8


Record 5
Structure and simulated XRD peak list of KNaSi5SnO16 (a cell relaxed with GGA-PBE; λ = 1.5418 Å (Cu Kα)).
Kinematic intensities with the Lorentz-polarization factor, no thermal factor.

Cell and atoms:
```
data_KNaSi5SnO16
_chemical_formula_sum 'K4 Na4 Si20 Sn4 O64'
_symmetry_space_group_name_H-M 'C 1 2/m 1'
_symmetry_Int_Tables_number 12
_symmetry_space_group_name_Hall '-C 2y'
_cell_length_a 10.4591
_cell_length_b 16.0892
_cell_length_c 9.3457
_cell_angle_alpha 90.00
_cell_angle_beta 104.86
_cell_angle_gamma 90.00
loop_
_atom_site_label
_atom_site_fract_x
_atom_site_fract_y
_atom_site_fract_z
K1 0.1226 0.0000 0.3651
Na1 0.0000 0.3749 0.5000
Si1 0.0000 0.3054 0.0000
Si2 0.0510 0.2067 0.7258
Si3 0.2125 0.4000 0.2462
Sn1 0.2500 0.2500 0.5000
O1 0.0552 0.2466 0.8880
O2 0.0929 0.5000 0.5899
O3 0.0995 0.1813 0.3631
O4 0.1187 0.3652 0.0909
O5 0.1268 0.2704 0.6391
O6 0.1314 0.1165 0.7522
O7 0.1743 0.0384 0.0724
O8 0.1768 0.3592 0.3905
O9 0.1942 0.5000 0.2543
```

Largest 10 diffraction maxima, by intensity, 2θ from 5° to 70°:
2theta  I (rel.)  hkl
11.00  100  0 2 0
9.79  97  0 0 1
24.88  83  2 2 1
14.75  37  0 2 1
29.24  33  1 1 -3
20.11  33  1 3 -1
31.55  33  2 4 1
17.78  26  2 0 -1
37.32  23  2 4 2
25.37  23  2 2 -2


Record 6
Structure and simulated XRD peak list of BaCaSmBiO6 (a cell relaxed with GGA-PBE; λ = 1.5418 Å (Cu Kα)).
Kinematic intensities with the Lorentz-polarization factor, no thermal factor.

Cell and atoms:
```
data_BaCaSmBiO6
_chemical_formula_sum 'Ba2 Ca2 Sm2 Bi2 O12'
_symmetry_space_group_name_H-M 'P -1'
_symmetry_Int_Tables_number 2
_symmetry_space_group_name_Hall '-P 1'
_cell_length_a 6.0392
_cell_length_b 6.1356
_cell_length_c 8.6396
_cell_angle_alpha 89.87
_cell_angle_beta 89.64
_cell_angle_gamma 89.89
loop_
_atom_site_label
_atom_site_fract_x
_atom_site_fract_y
_atom_site_fract_z
Ba1 0.0062 0.0371 0.2495
Ca1 0.4896 0.5406 0.2473
Sm1 0.0000 0.5000 0.0000
Sm2 0.5000 0.0000 0.5000
Bi1 0.0000 0.5000 0.5000
Bi2 0.5000 0.0000 0.0000
O1 0.1171 0.5079 0.7385
O2 0.1980 0.7814 0.4585
O3 0.2156 0.8002 0.0334
O4 0.2875 0.3088 0.4342
O5 0.3150 0.2926 0.0612
O6 0.4290 0.0678 0.7605
```

Largest 10 diffraction maxima, by intensity, 2θ from 5° to 70°:
2theta  I (rel.)  hkl
29.31  100  -1 1 2
29.15  93  1 1 2
20.61  58  1 1 0
41.98  47  2 2 0
29.37  46  1 1 -2
29.58  45  2 0 0
51.77  39  0 2 -4
52.20  33  3 1 2
41.82  25  0 0 4
52.43  23  -3 1 2


Record 7
Structure and simulated XRD peak list of CsTi5Se8 (a cell relaxed with GGA-PBE; λ = 1.5418 Å (Cu Kα)).
Kinematic intensities with the Lorentz-polarization factor, no thermal factor.

Cell and atoms:
```
data_CsTi5Se8
_chemical_formula_sum 'Cs2 Ti10 Se16'
_symmetry_space_group_name_H-M 'C 1 2/m 1'
_symmetry_Int_Tables_number 12
_symmetry_space_group_name_Hall '-C 2y'
_cell_length_a 19.0416
_cell_length_b 3.7486
_cell_length_c 9.2807
_cell_angle_alpha 90.00
_cell_angle_beta 104.74
_cell_angle_gamma 90.00
loop_
_atom_site_label
_atom_site_fract_x
_atom_site_fract_y
_atom_site_fract_z
Cs1 0.0000 0.0000 0.0000
Ti1 0.0000 0.5000 0.5000
Ti2 0.1588 0.0000 0.5067
Ti3 0.2097 0.0000 0.8431
Se1 0.0744 0.0000 0.6715
Se2 0.0907 0.5000 0.3360
Se3 0.1639 0.5000 0.9905
Se4 0.2423 0.5000 0.6671
```

Largest 10 diffraction maxima, by intensity, 2θ from 5° to 70°:
2theta  I (rel.)  hkl
30.87  100  3 1 1
32.13  44  3 1 -2
49.48  34  9 1 -1
38.37  25  3 1 -3
29.87  20  0 0 3
48.57  18  0 2 0
33.16  18  6 0 1
44.10  14  3 1 3
39.57  13  6 0 2
55.26  12  3 1 -5


Record 8
Structure and simulated XRD peak list of AlCu2O4 (a cell relaxed with GGA-PBE; λ = 1.5418 Å (Cu Kα)).
Kinematic intensities with the Lorentz-polarization factor, no thermal factor.

Cell and atoms:
Unit cell a=8.2469 b=8.2469 c=8.2469 alpha=90.00 beta=90.00 gamma=90.00
Space group Fd-3m (No. 227, origin choice 2)
One atom of each set of equivalent atoms:
Al (0.1250, 0.1250, 0.1250) [8 per cell]
Cu (0.0000, 0.0000, 0.5000) [16 per cell]
O (0.0020, 0.0020, 0.7480) [32 per cell]

Largest 10 diffraction maxima, by intensity, 2θ from 5° to 70°:
2theta  I (rel.)  hkl
36.12  100  3 1 1
18.64  58  1 1 1
43.91  55  4 0 0
63.85  53  4 4 0
58.12  32  5 1 1
37.79  20  2 2 2
48.09  13  3 3 1
67.15  9  5 3 1
30.66  7  2 2 0
54.51  3  4 2 2